# 1
For CoO2, the PBE+U geometry in the Materials Project gives the calculated powder diffraction line list in this record (Cu Ka).
Peak positions follow from Bragg's law for the DFT cell and can differ from measured ones.

Most intense lines, 10 to 80 degrees two-theta, most intense first:
2theta, I (rel.)
19.60, 100.0
37.89, 63.7
40.51, 52.3
45.39, 47.6
52.02, 39.5
48.89, 26.4
60.03, 24.2
43.12, 23.8
56.21, 19.7
68.60, 19.6
39.34, 18.0
29.58, 13.2

Crystal structure
```
data_CoO2
_cell_length_a 9.3637
_cell_length_b 2.7442
_cell_length_c 9.1654
_cell_angle_alpha 85.60
_cell_angle_beta 16.99
_cell_angle_gamma 77.41
_space_group_name_H-M_alt 'P 1'
_space_group_IT_number 1
loop_
_space_group_symop_operation_xyz
'x,y,z'
loop_
_atom_site_label
_atom_site_fract_x
_atom_site_fract_y
_atom_site_fract_z
Co1 0.0000 0.0000 0.0000
O1 0.6323 0.7565 0.2435
O2 0.7565 0.6323 0.3677
```

# 2
For Co3P4O14, the PBE+U geometry in the Materials Project gives the calculated powder diffraction line list in this record (Cu Ka).
Peak positions follow from Bragg's law for the DFT cell and can differ from measured ones.

Most intense lines, 10 to 80 degrees two-theta, most intense first:
2theta, I (rel.)
18.54, 100.0
28.10, 87.7
30.66, 83.0
25.88, 56.4
18.30, 50.4
29.51, 43.9
33.60, 38.7
33.42, 37.8
13.89, 35.8
16.41, 32.4
27.87, 31.9
22.85, 31.1

Crystal structure
```
data_Co3P4O14
_cell_length_a 6.3869
_cell_length_b 8.4180
_cell_length_c 10.0205
_cell_angle_alpha 107.91
_cell_angle_beta 91.53
_cell_angle_gamma 92.17
_space_group_name_H-M_alt 'P 1'
_space_group_IT_number 1
loop_
_space_group_symop_operation_xyz
'x,y,z'
loop_
_atom_site_label
_atom_site_fract_x
_atom_site_fract_y
_atom_site_fract_z
Co1 0.0000 0.0000 0.0000
Co2 0.1521 0.6211 0.9372
Co3 0.2147 0.6028 0.3792
Co4 0.5000 0.0000 0.5000
Co5 0.7853 0.3972 0.6208
Co6 0.8479 0.3789 0.0628
P1 0.0223 0.7511 0.6822
P2 0.2273 0.9482 0.2767
P3 0.3184 0.3156 0.6912
P4 0.3384 0.2970 0.9897
P5 0.6616 0.7030 0.0103
P6 0.6816 0.6844 0.3088
P7 0.7727 0.0518 0.7233
P8 0.9777 0.2489 0.3178
O1 0.0481 0.0780 0.3377
O2 0.0933 0.7959 0.8381
O3 0.1178 0.4111 0.7251
O4 0.1654 0.4262 0.0298
O5 0.1675 0.3756 0.3492
O6 0.1720 0.8742 0.1197
O7 0.1952 0.6905 0.5808
O8 0.2188 0.8231 0.3604
O9 0.2474 0.1236 0.9863
O10 0.2833 0.1419 0.5828
O11 0.4046 0.2829 0.8326
O12 0.4417 0.0440 0.3242
O13 0.4617 0.6502 0.9232
O14 0.4932 0.4158 0.6463
O15 0.5068 0.5842 0.3537
O16 0.5383 0.3498 0.0768
O17 0.5583 0.9560 0.6758
O18 0.5954 0.7171 0.1674
O19 0.7167 0.8581 0.4172
O20 0.7526 0.8764 0.0137
O21 0.7812 0.1769 0.6396
O22 0.8048 0.3095 0.4192
O23 0.8280 0.1258 0.8803
O24 0.8325 0.6244 0.6508
O25 0.8346 0.5738 0.9702
O26 0.8822 0.5889 0.2749
O27 0.9067 0.2041 0.1619
O28 0.9519 0.9220 0.6623
```

# 3
For Co3P4O14, the PBE+U geometry in the Materials Project gives the calculated powder diffraction line list in this record (Cu Ka).
Peak positions follow from Bragg's law for the DFT cell and can differ from measured ones.

Most intense lines, 10 to 80 degrees two-theta, most intense first:
2theta, I (rel.)
14.08, 100.0
33.34, 91.3
29.99, 83.6
26.42, 78.2
20.77, 41.2
32.51, 40.6
17.63, 36.0
35.68, 30.4
27.60, 28.6
55.41, 25.2
43.21, 24.8
12.59, 24.6

Crystal structure
```
data_Co3P4O14
_cell_length_a 5.4482
_cell_length_b 6.9400
_cell_length_c 7.2696
_cell_angle_alpha 75.82
_cell_angle_beta 80.97
_cell_angle_gamma 67.75
_space_group_name_H-M_alt 'P 1'
_space_group_IT_number 1
loop_
_space_group_symop_operation_xyz
'x,y,z'
loop_
_atom_site_label
_atom_site_fract_x
_atom_site_fract_y
_atom_site_fract_z
Co1 0.0000 0.0000 0.0000
Co2 0.1865 0.5115 0.3098
Co3 0.8135 0.4885 0.6902
P1 0.2095 0.7260 0.6572
P2 0.3520 0.3133 0.9361
P3 0.6480 0.6867 0.0639
P4 0.7905 0.2740 0.3428
O1 0.0529 0.6502 0.5444
O2 0.0565 0.9344 0.7219
O3 0.1675 0.2301 0.8629
O4 0.2439 0.5631 0.8607
O5 0.3126 0.2907 0.1518
O6 0.3503 0.7613 0.1324
O7 0.4836 0.6958 0.5565
O8 0.5164 0.3042 0.4435
O9 0.6497 0.2387 0.8676
O10 0.6874 0.7093 0.8482
O11 0.7561 0.4369 0.1393
O12 0.8325 0.7699 0.1371
O13 0.9435 0.0656 0.2781
O14 0.9471 0.3498 0.4556
```

# 4
For Co2PO5, the PBE+U geometry in the Materials Project gives the calculated powder diffraction line list in this record (Cu Ka).
Peak positions follow from Bragg's law for the DFT cell and can differ from measured ones.

Most intense lines, 10 to 80 degrees two-theta, most intense first:
2theta, I (rel.)
26.95, 100.0
27.85, 96.4
37.91, 39.4
17.79, 38.0
18.23, 35.7
56.89, 34.7
29.12, 29.7
36.03, 28.9
57.53, 28.9
55.56, 26.3
55.77, 26.1
69.99, 26.0

Crystal structure
```
data_Co2PO5
_cell_length_a 5.3798
_cell_length_b 5.3805
_cell_length_c 7.0665
_cell_angle_alpha 110.49
_cell_angle_beta 110.56
_cell_angle_gamma 90.19
_space_group_name_H-M_alt 'P 1'
_space_group_IT_number 1
loop_
_space_group_symop_operation_xyz
'x,y,z'
loop_
_atom_site_label
_atom_site_fract_x
_atom_site_fract_y
_atom_site_fract_z
Co1 0.0000 0.0000 0.0000
Co2 0.0000 0.0000 0.5000
Co3 0.0000 0.5000 0.0000
Co4 0.5000 0.0000 0.5000
P1 0.3788 0.6184 0.7498
P2 0.6212 0.3816 0.2502
O1 0.0968 0.9061 0.2507
O2 0.2167 0.7009 0.8996
O3 0.2956 0.7725 0.5936
O4 0.3132 0.3118 0.1272
O5 0.3159 0.3091 0.6337
O6 0.6841 0.6909 0.3663
O7 0.6868 0.6882 0.8728
O8 0.7044 0.2275 0.4064
O9 0.7833 0.2991 0.1004
O10 0.9032 0.0939 0.7493
```

# 5
For CoP3O9, the PBE+U geometry in the Materials Project gives the calculated powder diffraction line list in this record (Cu Ka).
Peak positions follow from Bragg's law for the DFT cell and can differ from measured ones.

Most intense lines, 10 to 80 degrees two-theta, most intense first:
2theta, I (rel.)
11.42, 100.0
31.15, 89.2
25.04, 72.8
18.66, 47.8
21.65, 44.4
22.22, 42.2
10.81, 41.6
32.47, 38.0
15.43, 36.6
24.10, 36.0
20.32, 34.9
30.17, 29.6

Crystal structure
```
data_CoP3O9
_cell_length_a 9.4606
_cell_length_b 9.4637
_cell_length_c 9.5546
_cell_angle_alpha 109.34
_cell_angle_beta 105.35
_cell_angle_gamma 108.42
_space_group_name_H-M_alt 'P 1'
_space_group_IT_number 1
loop_
_space_group_symop_operation_xyz
'x,y,z'
loop_
_atom_site_label
_atom_site_fract_x
_atom_site_fract_y
_atom_site_fract_z
Co1 0.1076 0.3041 0.2066
Co2 0.2579 0.7763 0.7277
Co3 0.7421 0.2237 0.2723
Co4 0.8924 0.6959 0.7934
P1 0.0022 0.6058 0.3521
P2 0.0635 0.7969 0.1693
P3 0.1859 0.0931 0.9220
P4 0.2981 0.4365 0.5932
P5 0.4313 0.6657 0.3044
P6 0.4904 0.8423 0.0976
P7 0.5096 0.1577 0.9024
P8 0.5687 0.3343 0.6956
P9 0.7019 0.5635 0.4068
P10 0.8141 0.9069 0.0780
P11 0.9365 0.2031 0.8307
P12 0.9978 0.3942 0.6479
O1 0.0147 0.6318 0.2006
O2 0.0325 0.5749 0.6866
O3 0.0333 0.7233 0.9897
O4 0.0918 0.1645 0.8209
O5 0.1263 0.9074 0.8161
O6 0.1466 0.7378 0.5094
O7 0.1546 0.3664 0.6477
O8 0.1744 0.1399 0.0840
O9 0.2223 0.9335 0.2909
O10 0.2362 0.3268 0.4123
O11 0.2718 0.5131 0.2405
O12 0.3541 0.6211 0.6484
O13 0.3566 0.8042 0.9423
O14 0.3694 0.1969 0.9499
O15 0.4157 0.6987 0.1427
O16 0.4299 0.4046 0.6995
O17 0.4353 0.9839 0.7670
O18 0.4871 0.8159 0.4540
O19 0.5129 0.1841 0.5460
O20 0.5647 0.0161 0.2330
O21 0.5701 0.5954 0.3005
O22 0.5843 0.3013 0.8573
O23 0.6306 0.8031 0.0501
O24 0.6434 0.1958 0.0577
O25 0.6459 0.3789 0.3516
O26 0.7282 0.4869 0.7595
O27 0.7638 0.6732 0.5877
O28 0.7777 0.0665 0.7091
O29 0.8256 0.8601 0.9160
O30 0.8454 0.6336 0.3523
O31 0.8534 0.2622 0.4906
O32 0.8737 0.0926 0.1839
O33 0.9082 0.8355 0.1791
O34 0.9667 0.2767 0.0103
O35 0.9675 0.4251 0.3134
O36 0.9853 0.3682 0.7994
```